Computed X-ray powder pattern of ReNi4 for Cu Kα, from a PBE-relaxed structure.
Intensities are scaled so that the largest is 100.

Principal peaks in the range 2θ from 10° to 90°, in order of rising 2θ:
(hkl), 2θ/deg, Rel. int.
1 1 0, 14.32, 60
3 1 1, 37.99, 17
0 0 2, 39.29, 27
4 1 0, 42.62, 43
3 3 0, 43.92, 25
2 0 2, 44.62, 29
2 1 2, 45.87, 52
4 1 1, 47.20, 100
3 3 1, 48.41, 38
4 1 3, 76.86, 23

Cell and atoms:
```
data_ReNi4
_cell_length_a 8.747
_cell_length_b 8.747
_cell_length_c 4.586
_cell_angle_alpha 90.00
_cell_angle_beta 90.00
_cell_angle_gamma 90.00
_space_group_name_H-M_alt 'P 42/m n m'
_space_group_IT_number 136
_space_group_name_Hall '-P 4n 2n'
loop_
_atom_site_label
_atom_site_fract_x
_atom_site_fract_y
_atom_site_fract_z
_atom_site_occupancy
Re1 0.000 0.000 0.000 1
Re2 0.106 0.106 0.500 1
Ni1 0.040 0.370 0.500 1
Ni2 0.070 0.269 0.000 1
Ni3 0.181 0.819 0.251 1
```

Computed X-ray powder pattern of Pr2PdO5 for Cu Kα, from a PBE-relaxed structure.
Intensities are scaled so that the largest is 100.

Principal peaks in the range 2θ from 10° to 90°, in order of rising 2θ:
(hkl), 2θ/deg, Rel. int.
1 1 -2, 28.46, 100
3 1 0, 29.73, 95
0 2 0, 32.27, 23
4 0 -2, 34.36, 21
2 0 2, 34.52, 21
2 0 -4, 47.85, 47
2 2 2, 47.97, 30
1 3 -2, 55.23, 14
5 1 -4, 57.24, 15
1 1 4, 57.46, 15

Cell and atoms:
```
data_Pr2PdO5
_cell_length_a 11.392
_cell_length_b 5.549
_cell_length_c 7.605
_cell_angle_alpha 90.00
_cell_angle_beta 109.76
_cell_angle_gamma 90.00
_space_group_name_H-M_alt 'C 1 2/c 1'
_space_group_IT_number 15
_space_group_name_Hall '-C 2yc'
loop_
_atom_site_label
_atom_site_fract_x
_atom_site_fract_y
_atom_site_fract_z
_atom_site_occupancy
Pr1 0.172 0.027 0.333 1
Pd1 0.000 0.500 0.000 1
O1 0.000 0.353 0.250 1
O2 0.141 0.261 0.041 1
O3 0.142 0.258 0.596 1
```